Li4CaGe4: computed X-ray diffraction stick pattern (a wavelength of 1.5418 Å), based on a DFT-relaxed cell (GGA-PBE, Alexandria).
No peak broadening, texture or thermal motion is included.

Cell and atoms:
```
Li4CaGe4
1.0
6.161 0.000 0.000
0.000 6.161 0.000
0.000 0.000 8.882
Li Ca Ge
8 2 8
direct
0.006 0.250 0.158
0.250 0.006 0.658
0.250 0.494 0.658
0.494 0.250 0.158
0.506 0.750 0.842
0.750 0.506 0.342
0.750 0.994 0.342
0.994 0.750 0.842
0.250 0.750 0.250
0.750 0.250 0.750
0.048 0.250 0.457
0.250 0.048 0.957
0.250 0.452 0.957
0.452 0.250 0.457
0.548 0.750 0.543
0.750 0.548 0.043
0.750 0.952 0.043
0.952 0.750 0.543
```

The 8 most intense peaks (2θ from 15° to 90°), sorted by position:
Position (°2θ), I/Imax
19.99, 48
24.71, 22
28.71, 26
30.72, 100
34.07, 22
42.34, 28
46.43, 29
47.80, 22


Li4Ca3Ge4: computed X-ray diffraction stick pattern (a wavelength of 1.5418 Å), based on a DFT-relaxed cell (GGA-PBE, Alexandria).
No peak broadening, texture or thermal motion is included.

Cell and atoms:
```
Li4Ca3Ge4
1.0
-2.229 3.470 7.410
2.229 -3.470 7.410
2.229 3.470 -7.410
Li Ca Ge
4 3 4
direct
0.020 0.826 0.193
0.367 0.174 0.193
0.633 0.826 0.807
0.980 0.174 0.807
0.000 0.500 0.500
0.368 0.368 0.000
0.632 0.632 0.000
0.209 0.709 0.500
0.324 0.000 0.324
0.676 0.000 0.676
0.791 0.291 0.500
```

The 8 most intense peaks (2θ from 15° to 90°), sorted by position:
Position (°2θ), I/Imax
23.72, 47
26.94, 83
28.40, 33
33.27, 77
34.01, 100
40.46, 41
45.07, 36
66.21, 36


Li2Ca2NiGe4: computed X-ray diffraction stick pattern (a wavelength of 1.5418 Å), based on a DFT-relaxed cell (GGA-PBE, Alexandria).
No peak broadening, texture or thermal motion is included.

Cell and atoms:
```
Li2Ca2NiGe4
1.0
-3.050 3.050 4.494
3.050 -3.050 4.494
3.050 3.050 -4.494
Li Ca Ni Ge
2 2 1 4
direct
0.220 0.220 0.000
0.780 0.780 0.000
0.250 0.750 0.500
0.750 0.250 0.500
0.500 0.500 0.000
0.222 0.222 0.444
0.222 0.778 0.000
0.778 0.222 0.000
0.778 0.778 0.556
```

The 8 most intense peaks (2θ from 15° to 90°), sorted by position:
Position (°2θ), I/Imax
19.75, 83
28.68, 42
34.35, 29
35.57, 100
40.13, 38
41.88, 58
46.71, 27
59.39, 39


LiCa2Ge2Rh5: computed X-ray diffraction stick pattern (a wavelength of 1.5418 Å), based on a DFT-relaxed cell (GGA-PBE, Alexandria).
No peak broadening, texture or thermal motion is included.

Cell and atoms:
```
LiCa2Ge2Rh5
1.0
10.029 0.000 0.000
0.000 10.029 0.000
0.000 0.000 3.342
Li Ca Ge Rh
2 4 4 10
direct
0.000 0.000 0.000
0.500 0.500 0.000
0.171 0.329 0.000
0.329 0.829 0.000
0.671 0.171 0.000
0.829 0.671 0.000
0.131 0.631 0.000
0.369 0.131 0.000
0.631 0.869 0.000
0.869 0.369 0.000
0.000 0.500 0.500
0.066 0.798 0.500
0.202 0.066 0.500
0.298 0.566 0.500
0.434 0.298 0.500
0.500 0.000 0.500
0.566 0.702 0.500
0.702 0.434 0.500
0.798 0.934 0.500
0.934 0.202 0.500
```

The 8 most intense peaks (2θ from 15° to 90°), sorted by position:
Position (°2θ), I/Imax
19.80, 48
36.96, 61
38.07, 31
39.16, 100
42.28, 58
45.21, 30
46.16, 27
65.85, 28


CaMgGe4: computed X-ray diffraction stick pattern (a wavelength of 1.5418 Å), based on a DFT-relaxed cell (GGA-PBE, Alexandria).
No peak broadening, texture or thermal motion is included.

Cell and atoms:
```
CaMgGe4
1.0
0.000 3.983 3.983
3.983 0.000 3.983
3.983 3.983 0.000
Ca Mg Ge
1 1 4
direct
0.000 0.000 0.000
0.750 0.750 0.750
0.376 0.376 0.376
0.376 0.376 0.872
0.376 0.872 0.376
0.872 0.376 0.376
```

The 8 most intense peaks (2θ from 15° to 90°), sorted by position:
Position (°2θ), I/Imax
19.30, 47
37.45, 100
39.18, 68
45.55, 20
49.91, 12
60.39, 32
66.39, 30
79.88, 24


CaPmMg2Ge2: computed X-ray diffraction stick pattern (a wavelength of 1.5418 Å), based on a DFT-relaxed cell (GGA-PBE, Alexandria).
No peak broadening, texture or thermal motion is included.

Cell and atoms:
```
CaPmMg2Ge2
1.0
4.666 0.000 0.000
-2.333 4.041 0.000
0.000 0.000 7.348
Ca Pm Mg Ge
1 1 2 2
direct
0.000 0.000 0.000
0.000 0.000 0.500
0.333 0.667 0.235
0.667 0.333 0.765
0.333 0.667 0.752
0.667 0.333 0.248
```

The 8 most intense peaks (2θ from 15° to 90°), sorted by position:
Position (°2θ), I/Imax
22.00, 13
25.15, 45
32.95, 100
38.59, 59
51.63, 27
64.58, 24
66.28, 25
69.83, 10


CaMg2GeRh: computed X-ray diffraction stick pattern (a wavelength of 1.5418 Å), based on a DFT-relaxed cell (GGA-PBE, Alexandria).
No peak broadening, texture or thermal motion is included.

Cell and atoms:
```
CaMg2GeRh
1.0
4.966 0.000 0.000
0.000 4.966 0.000
0.000 0.000 4.765
Ca Mg Ge Rh
1 2 1 1
direct
0.000 0.000 0.000
0.000 0.500 0.500
0.500 0.000 0.500
0.500 0.500 0.000
0.500 0.500 0.500
```

The 8 most intense peaks (2θ from 15° to 90°), sorted by position:
Position (°2θ), I/Imax
17.86, 100
25.37, 67
25.91, 24
36.18, 67
37.76, 30
40.63, 25
46.04, 26
53.29, 42


Ca2NbGeMo: computed X-ray diffraction stick pattern (a wavelength of 1.5418 Å), based on a DFT-relaxed cell (GGA-PBE, Alexandria).
No peak broadening, texture or thermal motion is included.

Cell and atoms:
```
Ca2NbGeMo
1.0
5.452 0.000 0.000
0.000 5.452 0.000
0.000 0.000 5.005
Ca Nb Ge Mo
2 1 1 1
direct
0.000 0.500 0.000
0.500 0.000 0.000
0.000 0.000 0.500
0.000 0.000 0.000
0.500 0.500 0.500
```

The 8 most intense peaks (2θ from 15° to 90°), sorted by position:
Position (°2θ), I/Imax
23.07, 66
29.24, 91
32.86, 100
35.89, 39
43.10, 26
47.15, 35
49.44, 60
60.64, 32


Ca7GeN6: computed X-ray diffraction stick pattern (a wavelength of 1.5418 Å), based on a DFT-relaxed cell (GGA-PBE, Alexandria).
No peak broadening, texture or thermal motion is included.

Cell and atoms:
```
Ca7GeN6
1.0
10.909 0.000 0.000
0.000 6.219 0.000
0.000 0.000 13.185
Ca Ge N
28 4 24
direct
0.000 0.058 0.250
0.000 0.942 0.750
0.038 0.231 0.521
0.038 0.769 0.021
0.206 0.393 0.117
0.206 0.607 0.617
0.229 0.354 0.873
0.229 0.646 0.373
0.271 0.146 0.373
0.271 0.854 0.873
0.294 0.107 0.617
0.294 0.893 0.117
0.462 0.269 0.021
0.462 0.731 0.521
0.500 0.442 0.750
0.500 0.558 0.250
0.538 0.269 0.479
0.538 0.731 0.979
0.706 0.107 0.883
0.706 0.893 0.383
0.729 0.146 0.127
0.729 0.854 0.627
0.771 0.354 0.627
0.771 0.646 0.127
0.794 0.393 0.383
0.794 0.607 0.883
0.962 0.231 0.979
0.962 0.769 0.479
0.000 0.434 0.750
0.000 0.566 0.250
0.500 0.066 0.250
0.500 0.934 0.750
0.050 0.387 0.359
0.050 0.613 0.859
0.132 0.254 0.706
0.132 0.746 0.206
0.166 0.093 0.994
0.166 0.907 0.494
0.334 0.407 0.494
0.334 0.593 0.994
0.368 0.246 0.206
0.368 0.754 0.706
0.450 0.113 0.859
0.450 0.887 0.359
0.550 0.113 0.641
0.550 0.887 0.141
0.632 0.246 0.294
0.632 0.754 0.794
0.666 0.407 0.006
0.666 0.593 0.506
0.834 0.093 0.506
0.834 0.907 0.006
0.868 0.254 0.794
0.868 0.746 0.294
0.950 0.387 0.141
0.950 0.613 0.641
```

The 8 most intense peaks (2θ from 15° to 90°), sorted by position:
Position (°2θ), I/Imax
21.26, 17
30.65, 20
31.72, 100
31.82, 17
32.84, 30
35.93, 41
36.34, 19
36.62, 32


CaGe7N10: computed X-ray diffraction stick pattern (a wavelength of 1.5418 Å), based on a DFT-relaxed cell (GGA-PBE, Alexandria).
No peak broadening, texture or thermal motion is included.

Cell and atoms:
```
CaGe7N10
1.0
7.210 0.000 0.000
0.000 7.237 0.000
-2.645 0.000 9.931
Ca Ge N
2 14 20
direct
0.000 0.017 0.000
0.000 0.983 0.500
0.212 0.393 0.941
0.212 0.607 0.441
0.397 0.376 0.250
0.397 0.624 0.750
0.448 0.025 0.887
0.448 0.975 0.387
0.585 0.370 0.555
0.585 0.630 0.055
0.645 0.027 0.193
0.645 0.973 0.693
0.762 0.366 0.859
0.762 0.634 0.359
0.949 0.374 0.179
0.949 0.626 0.679
0.178 0.419 0.308
0.178 0.581 0.808
0.240 0.151 0.901
0.240 0.849 0.401
0.385 0.497 0.091
0.385 0.503 0.591
0.419 0.125 0.231
0.419 0.875 0.731
0.558 0.118 0.540
0.558 0.882 0.040
0.596 0.460 0.389
0.596 0.540 0.889
0.675 0.125 0.848
0.675 0.875 0.348
0.805 0.415 0.691
0.805 0.585 0.191
0.870 0.138 0.193
0.870 0.862 0.693
0.984 0.371 0.999
0.984 0.629 0.499
```

The 8 most intense peaks (2θ from 15° to 90°), sorted by position:
Position (°2θ), I/Imax
18.27, 42
24.58, 38
27.75, 45
28.17, 39
29.68, 40
35.20, 47
37.29, 100
62.93, 33


CaY2GeN4: computed X-ray diffraction stick pattern (a wavelength of 1.5418 Å), based on a DFT-relaxed cell (GGA-PBE, Alexandria).
No peak broadening, texture or thermal motion is included.

Cell and atoms:
```
CaY2GeN4
1.0
1.691 -5.876 0.000
1.691 5.876 0.000
0.000 0.000 11.819
Ca Y Ge N
2 4 2 8
direct
0.100 0.900 0.750
0.900 0.100 0.250
0.370 0.630 0.538
0.370 0.630 0.962
0.630 0.370 0.038
0.630 0.370 0.462
0.172 0.828 0.250
0.828 0.172 0.750
0.000 0.000 0.000
0.000 0.000 0.500
0.263 0.737 0.124
0.263 0.737 0.376
0.424 0.576 0.750
0.576 0.424 0.250
0.737 0.263 0.624
0.737 0.263 0.876
```

The 8 most intense peaks (2θ from 15° to 90°), sorted by position:
Position (°2θ), I/Imax
16.85, 42
30.25, 46
30.43, 39
31.41, 90
35.86, 51
38.32, 100
41.16, 33
52.82, 24